Starting from a cell relaxed with GGA-PBE, the powder diffraction line list of SmMgZn2 was computed for Cu Kα.
Lines closer than 0.1° are merged.

Principal peaks in the range 2θ from 15° to 90°, by intensity:
h k l  2θ/deg  d [Å]  intensity
2 2 0  36.7  2.451  100
1 1 1  22.2  4.002  36
4 2 2  66.0  1.415  34
3 1 1  43.3  2.090  19
4 0 0  52.8  1.733  17
6 2 0  89.4  1.096  15
4 4 0  78.0  1.225  10
3 3 1  58.0  1.590  8
5 3 1  82.3  1.172  6
5 1 1  70.6  1.334  6

Cell and atoms:
Lattice parameters (Å, degrees): 6.9317 6.9317 6.9317 90.00 90.00 90.00
Positions (direct):
Sm: 0.0000 0.0000 0.0000
Sm: 0.0000 0.5000 0.5000
Sm: 0.5000 0.0000 0.5000
Sm: 0.5000 0.5000 0.0000
Mg: 0.0000 0.0000 0.5000
Mg: 0.0000 0.5000 0.0000
Mg: 0.5000 0.0000 0.0000
Mg: 0.5000 0.5000 0.5000
Zn: 0.2500 0.2500 0.2500
Zn: 0.2500 0.2500 0.7500
Zn: 0.2500 0.7500 0.2500
Zn: 0.2500 0.7500 0.7500
Zn: 0.7500 0.2500 0.2500
Zn: 0.7500 0.2500 0.7500
Zn: 0.7500 0.7500 0.2500
Zn: 0.7500 0.7500 0.7500